[1]
K2Sb4Pt5: simulated XRD peak list (Cu Kα (weighted mean of Kα1 and Kα2)), based on a cell relaxed with PBE.

Cell and atoms:
abc: 5.772 13.395 14.720
angles: 90.00 90.00 90.00
Space group Fmmm (No. 69)
One atom of each set of equivalent atoms:
K: 0.000 0.000 0.134
Sb: 0.000 0.151 0.376
Pt: 0.000 0.000 0.500
Pt: 0.250 0.250 0.000
Pt: 0.250 0.250 0.250

Top 12 peaks for 15 to 90 degrees two-theta, sorted by position:
- hkl 1 1 1, 17.78 deg, rel. 83
- hkl 0 2 4, 27.66 deg, rel. 32
- hkl 1 3 3, 31.20 deg, rel. 63
- hkl 2 2 0, 33.82 deg, rel. 59
- hkl 0 4 4, 36.27 deg, rel. 100
- hkl 2 0 4, 39.69 deg, rel. 63
- hkl 1 3 5, 39.87 deg, rel. 32
- hkl 2 4 0, 41.30 deg, rel. 34
- hkl 2 2 4, 42.01 deg, rel. 91
- hkl 0 6 4, 47.64 deg, rel. 32
- hkl 2 6 0, 51.77 deg, rel. 47
- hkl 2 6 8, 74.47 deg, rel. 32

***

[2]
KSb2Pt3: simulated XRD peak list (Cu Kα (weighted mean of Kα1 and Kα2)), based on a cell relaxed with PBE.

Cell and atoms:
abc: 4.486 8.059 8.758
angles: 110.85 97.71 98.02
Space group P-1 (No. 2)
One atom of each set of equivalent atoms:
K: 0.074 0.284 0.066
Sb: 0.280 0.376 0.718
Sb: 0.437 0.961 0.765
Pt: 0.128 0.159 0.397
Pt: 0.292 0.601 0.562
Pt: 0.295 0.827 0.377

Top 12 peaks for 15 to 90 degrees two-theta, sorted by position:
- hkl 1 1 1, 31.45 deg, rel. 100
- hkl -1 2 1, 32.41 deg, rel. 43
- hkl 0 2 -3, 33.03 deg, rel. 64
- hkl 1 1 -3, 34.81 deg, rel. 68
- hkl 1 -3 1, 36.91 deg, rel. 48
- hkl 1 -3 2, 39.04 deg, rel. 60
- hkl -1 2 2, 39.50 deg, rel. 98
- hkl 1 1 2, 39.75 deg, rel. 82
- hkl 2 0 -1, 40.73 deg, rel. 56
- hkl 2 -1 0, 40.78 deg, rel. 64
- hkl 1 3 -2, 42.19 deg, rel. 59
- hkl -1 2 3, 48.54 deg, rel. 34